Computed powder X-ray diffraction pattern
Compound: Tb2YHo9
Radiation: copper Kα
Structure: a PBE-relaxed structure
Neutral-atom scattering factors, no anomalous dispersion.

Structure:
```
Tb2YHo9
1.0
11.1680 0.0000 0.0000
-5.5840 9.6718 0.0000
0.0000 0.0000 3.4877
Tb Y Ho
2 1 9
Cartesian
0.0000 6.4479 0.0000 Tb
5.5840 3.2239 0.0000 Tb
0.0000 0.0000 0.0000 Y
-2.7920 4.8359 0.0000 Ho
0.0000 3.4079 1.7439 Ho
-2.6327 7.9678 1.7439 Ho
2.9514 1.7040 1.7439 Ho
5.5840 0.0000 0.0000 Ho
2.7920 4.8359 0.0000 Ho
2.6327 7.9678 1.7439 Ho
8.2167 1.7040 1.7439 Ho
5.5840 6.2639 1.7439 Ho
```

Principal peaks in the range 2θ = 5–70°, low angle first:
| hkl | two_theta | Rel. int. |
| --- | --- | --- |
| 1 1 1 | 30.21 | 218 |
| 2 0 1 | 31.63 | 505 |
| 2 2 0 | 32.06 | 1000 |
| 2 1 1 | 35.58 | 247 |
| 3 0 1 | 38.01 | 126 |
| 4 0 1 | 45.66 | 174 |
| 4 2 1 | 56.87 | 177 |
| 6 0 0 | 57.14 | 178 |
| 2 2 2 | 62.83 | 292 |
| 4 4 0 | 67.04 | 105 |